No. 1
The following is a calculated X-ray diffraction stick pattern of Tb2Ni17. It was derived from a DFT-relaxed cell (PBE, the Materials Project), using CuKα.
No peak broadening, texture or thermal motion is included.

Most intense lines, 2θ = 15–90°, by angle:
| 2θ (°) | intensity |
| --- | --- |
| 31.09 | 35.3 |
| 37.66 | 41.2 |
| 42.22 | 38.8 |
| 43.77 | 62.8 |
| 44.15 | 100.0 |
| 45.30 | 31.8 |
| 49.61 | 22.4 |
| 64.82 | 16.7 |
| 80.42 | 19.0 |
| 82.87 | 20.2 |

Structural model:
```
Tb2Ni17
1.0
8.2736 0.0000 0.0000
-4.1368 7.1651 0.0000
0.0000 0.0000 8.0069
Tb Ni
4 34
direct
0.0000 0.0000 0.2500
0.0000 0.0000 0.7500
0.3333 0.6667 0.2500
0.6667 0.3333 0.7500
0.0000 0.5000 0.0000
0.0000 0.5000 0.5000
0.0431 0.3711 0.7500
0.0431 0.6721 0.7500
0.1657 0.3314 0.0206
0.1657 0.3314 0.4794
0.1657 0.8343 0.0206
0.1657 0.8343 0.4794
0.3279 0.3711 0.7500
0.3279 0.9569 0.7500
0.3314 0.1657 0.5206
0.3314 0.1657 0.9794
0.3333 0.6667 0.6021
0.3333 0.6667 0.8979
0.3711 0.0431 0.2500
0.3711 0.3279 0.2500
0.5000 0.0000 0.0000
0.5000 0.0000 0.5000
0.5000 0.5000 0.0000
0.5000 0.5000 0.5000
0.6289 0.6721 0.7500
0.6289 0.9569 0.7500
0.6667 0.3333 0.1021
0.6667 0.3333 0.3979
0.6686 0.8343 0.0206
0.6686 0.8343 0.4794
0.6721 0.0431 0.2500
0.6721 0.6289 0.2500
0.8343 0.1657 0.5206
0.8343 0.1657 0.9794
0.8343 0.6686 0.5206
0.8343 0.6686 0.9794
0.9569 0.3279 0.2500
0.9569 0.6289 0.2500
```


No. 2
The following is a calculated X-ray diffraction stick pattern of TbYNi2. It was derived from a DFT-relaxed cell (PBE, the Materials Project), using CuKα.
No peak broadening, texture or thermal motion is included.

Most intense lines, 2θ = 15–90°, by angle:
| 2θ (°) | intensity |
| --- | --- |
| 29.66 | 68.2 |
| 32.89 | 100.0 |
| 35.54 | 77.4 |
| 36.97 | 81.1 |
| 41.48 | 43.1 |
| 41.69 | 90.0 |
| 42.93 | 49.8 |
| 56.91 | 39.1 |
| 61.22 | 26.4 |
| 79.20 | 27.4 |

Structural model:
```
TbYNi2
1.0
4.2138 0.0000 0.0000
0.0000 5.4013 0.0000
0.0000 0.0000 7.1370
Tb Y Ni
2 2 4
direct
0.0000 0.1216 0.0000
0.0000 0.8784 0.5000
0.5000 0.3783 0.6460
0.5000 0.6217 0.1460
0.0000 0.3756 0.3615
0.0000 0.6244 0.8615
0.5000 0.1228 0.2841
0.5000 0.8772 0.7841
```


No. 3
The following is a calculated X-ray diffraction stick pattern of Tb2ZnNi2. It was derived from a DFT-relaxed cell (PBE, the Materials Project), using CuKα.
No peak broadening, texture or thermal motion is included.

Most intense lines, 2θ = 15–90°, by angle:
| 2θ (°) | intensity |
| --- | --- |
| 26.76 | 42.2 |
| 34.78 | 100.0 |
| 37.09 | 31.9 |
| 39.39 | 27.5 |
| 40.20 | 27.6 |
| 41.27 | 43.6 |
| 42.59 | 31.5 |
| 57.73 | 17.6 |
| 59.99 | 16.7 |
| 71.23 | 25.9 |

Structural model:
```
Tb2ZnNi2
1.0
-2.1230 2.6877 4.0735
2.1230 -2.6877 4.0735
2.1230 2.6877 -4.0735
Tb Zn Ni
2 1 2
direct
0.2022 0.2022 0.0000
0.7978 0.7978 0.0000
0.5000 0.0000 0.5000
0.2307 0.5000 0.7307
0.7693 0.5000 0.2693
```


No. 4
The following is a calculated X-ray diffraction stick pattern of Tc3Ni. It was derived from a DFT-relaxed cell (PBE, the Materials Project), using CuKα.
No peak broadening, texture or thermal motion is included.

Most intense lines, 2θ = 15–90°, by angle:
| 2θ (°) | intensity |
| --- | --- |
| 28.11 | 3.2 |
| 38.62 | 24.5 |
| 41.68 | 26.2 |
| 44.11 | 100.0 |
| 58.11 | 14.3 |
| 69.88 | 16.1 |
| 77.77 | 17.7 |
| 82.80 | 2.5 |
| 84.78 | 19.0 |
| 86.44 | 13.6 |

Structural model:
```
Tc3Ni
1.0
5.3843 0.0000 0.0000
-2.6922 4.6630 0.0000
0.0000 0.0000 4.3343
Tc Ni
6 2
direct
0.1664 0.3329 0.2500
0.1664 0.8336 0.2500
0.3329 0.1664 0.7500
0.6671 0.8336 0.2500
0.8336 0.1664 0.7500
0.8336 0.6671 0.7500
0.3333 0.6667 0.7500
0.6667 0.3333 0.2500
```